[1]
For CsMg14C, DFT lattice parameters and positions (PBE) gives the theoretical powder X-ray diffraction pattern in this record (Cu Kα (weighted mean of Kα1 and Kα2)).
Peak positions follow from Bragg's law for the DFT cell and can differ from measured ones.

Main lines, sorted by position (2θ from 10° to 80°):
h k l	2θ/deg	Rel. int.
0 0 2	16.13	29
1 0 1	18.05	37
1 0 3	29.31	42
0 0 4	32.60	54
2 0 2	36.57	100
2 0 4	46.77	23
1 1 5	50.53	19
2 2 0	58.15	17
2 0 6	60.80	16
2 2 4	68.29	21

Crystal structure
```
data_CsMg14C
_chemical_formula_sum 'Cs1 Mg14 C1'
_symmetry_space_group_name_H-M 'P -6 m 2'
_symmetry_Int_Tables_number 187
_symmetry_space_group_name_Hall 'P -6 2'
_cell_length_a 6.3456
_cell_length_b 6.3456
_cell_length_c 10.9824
_cell_angle_alpha 90.00
_cell_angle_beta 90.00
_cell_angle_gamma 120.00
loop_
_atom_site_label
_atom_site_fract_x
_atom_site_fract_y
_atom_site_fract_z
Cs1 0.0000 0.0000 0.0000
Mg1 0.0055 0.5028 0.0000
Mg2 0.1597 0.3193 0.2917
Mg3 0.5073 0.0145 0.5000
Mg4 0.6667 0.3333 0.2404
C1 0.0000 0.0000 0.5000
```


[2]
For CsMg14C, DFT lattice parameters and positions (PBE) gives the theoretical powder X-ray diffraction pattern in this record (Cu Kα (weighted mean of Kα1 and Kα2)).
Peak positions follow from Bragg's law for the DFT cell and can differ from measured ones.

Main lines, sorted by position (2θ from 10° to 80°):
h k l	2θ/deg	Rel. int.
0 1 1	16.04	35
1 1 1	18.14	51
2 1 1	23.36	37
1 1 3	28.14	32
3 1 1	30.20	28
0 2 2	32.41	45
4 0 0	34.12	49
2 0 4	34.92	78
2 2 2	36.75	100
4 2 2	47.76	28

Crystal structure
```
data_CsMg14C
_chemical_formula_sum 'Cs2 Mg28 C2'
_symmetry_space_group_name_H-M 'A m m 2'
_symmetry_Int_Tables_number 38
_cell_length_a 10.5126
_cell_length_b 6.2560
_cell_length_c 11.7826
_cell_angle_alpha 90.00
_cell_angle_beta 90.00
_cell_angle_gamma 90.00
loop_
_symmetry_equiv_pos_as_xyz
'x,y,z'
'-x,-y,z'
'-x,y,z'
'x,-y,z'
'x,y+1/2,z+1/2'
'-x,-y+1/2,z+1/2'
'-x,y+1/2,z+1/2'
'x,-y+1/2,z+1/2'
loop_
_atom_site_label
_atom_site_fract_x
_atom_site_fract_y
_atom_site_fract_z
Cs1 0.0000 0.0000 0.0000
Mg1 0.0000 0.2492 0.7484
Mg2 0.2334 0.0000 0.6298
Mg3 0.2565 0.2395 0.3779
Mg4 0.2777 0.0000 0.1376
Mg5 0.5000 0.0000 0.4726
Mg6 0.5000 0.0000 0.9633
Mg7 0.5000 0.2439 0.7222
C1 0.0000 0.0000 0.3723
```